The following is a simulated X-ray diffraction stick pattern of TiMn3Cr2. It was derived from a PBE-relaxed structure, using CuKα.

Peak list (9 most intense, 2θ from 15° to 90°, in order of falling intensity)
2θ 44.59, rel. 100
2θ 44.90, rel. 50
2θ 82.59, rel. 28
2θ 65.37, rel. 14
2θ 81.93, rel. 13
2θ 64.41, rel. 7
2θ 53.01, rel. 1
2θ 20.47, rel. 1
2θ 88.94, rel. 1

Cell lengths 2.855, 2.855, 8.679 Å; angles 90.00, 90.00, 90.00 degrees
Space group P4/mmm (No. 123)
Unique sites:
Ti  0.000  0.000  0.000
Mn  0.500  0.500  0.180
Mn  0.500  0.500  0.500
Cr  0.000  0.000  0.336